No. 1
Computed X-ray powder pattern
Compound: HWCl6
Radiation: Cu Kα (λ = 1.5418 Å)
Structure: a DFT-relaxed cell (PBE, Alexandria)

```
16
Lattice="7.091 -4.535 0.000 7.091 4.535 0.000 -6.411 0.000 7.867" Properties=species:S:1:pos:R:3 pbc="T T T"
H 2.822 0.000 0.507
H 4.949 0.000 7.360
W 0.336 1.569 3.922
W 7.434 1.569 3.945
Cl 2.316 1.061 2.796
Cl -0.563 -0.695 3.614
Cl -3.179 -0.670 7.350
Cl 1.342 0.991 5.902
Cl 6.428 0.991 1.965
Cl 5.454 1.061 5.071
Cl 2.280 -2.436 2.840
Cl 1.278 -2.400 5.964
Cl 6.492 -2.400 1.903
Cl 10.949 -0.670 0.517
Cl 8.334 -0.695 4.253
Cl 5.491 -2.436 5.027
```

Top 6 peaks for 5° ≤ 2θ ≤ 70°, by intensity:
| Position (°2θ) | Rel. int. |
| --- | --- |
| 11.25 | 100 |
| 12.53 | 66 |
| 16.13 | 46 |
| 22.63 | 45 |
| 17.58 | 39 |
| 23.31 | 35 |



No. 2
Computed X-ray powder pattern
Compound: YH2Cl4
Radiation: Cu Kα (λ = 1.5418 Å)
Structure: a DFT-relaxed cell (PBE, Alexandria)

```
7
Lattice="3.932 0.000 0.000 -1.694 6.192 0.000 -1.007 -0.360 7.183" Properties=species:S:1:pos:R:3 pbc="T T T"
Y 0.000 0.000 0.000
H 0.961 1.011 1.726
H 1.101 3.044 5.059
Cl 0.257 4.417 0.437
Cl 0.940 0.904 5.764
Cl 1.238 4.250 4.564
Cl 2.800 1.159 1.971
```

Top 6 peaks for 5° ≤ 2θ ≤ 70°, by intensity:
| Position (°2θ) | Rel. int. |
| --- | --- |
| 12.32 | 100 |
| 14.32 | 61 |
| 18.46 | 41 |
| 31.84 | 41 |
| 29.38 | 39 |
| 35.36 | 25 |



No. 3
Computed X-ray powder pattern
Compound: ZnH2Cl3
Radiation: Cu Kα (λ = 1.5418 Å)
Structure: a DFT-relaxed cell (PBE, Alexandria)

```
12
Lattice="5.659 -7.490 0.000 5.659 7.490 0.000 -0.225 0.000 3.651" Properties=species:S:1:pos:R:3 pbc="T T T"
Zn 5.490 6.561 2.738
Zn 5.602 -6.561 0.913
H 4.476 3.785 2.779
H 6.504 3.785 2.697
H 4.588 -3.785 0.954
H 6.616 -3.785 0.872
Cl 1.785 2.363 0.834
Cl 1.672 -2.363 2.659
Cl 5.490 2.615 2.738
Cl 5.602 -2.615 0.913
Cl 9.420 2.363 0.992
Cl 9.308 -2.363 2.817
```

Top 6 peaks for 5° ≤ 2θ ≤ 70°, by intensity:
| Position (°2θ) | Rel. int. |
| --- | --- |
| 9.81 | 100 |
| 29.72 | 29 |
| 15.69 | 21 |
| 26.79 | 21 |
| 25.87 | 17 |
| 37.26 | 15 |



No. 4
Computed X-ray powder pattern
Compound: K2HfHgCl6
Radiation: Cu Kα (λ = 1.5418 Å)
Structure: a DFT-relaxed cell (PBE, Alexandria)

```
20
Lattice="3.579 2.067 19.619 -3.579 2.067 19.619 0.000 -4.133 19.619" Properties=species:S:1:pos:R:3 pbc="T T T"
K 0.000 0.000 8.710
K 0.000 0.000 18.525
K 0.000 0.000 40.332
K 0.000 0.000 50.147
Hf 0.000 0.000 0.000
Hf 0.000 0.000 29.428
Hg 0.000 0.000 24.492
Hg 0.000 0.000 34.365
Cl -1.742 -1.006 28.011
Cl 0.000 -2.123 21.037
Cl -1.838 1.061 21.037
Cl -1.838 -1.061 37.820
Cl 0.000 -2.012 30.846
Cl -1.742 1.006 30.846
Cl 1.742 -1.006 28.011
Cl 0.000 2.012 28.011
Cl 1.838 1.061 21.037
Cl 1.838 -1.061 37.820
Cl 0.000 2.123 37.820
Cl 1.742 1.006 30.846
```

Top 6 peaks for 5° ≤ 2θ ≤ 70°, by intensity:
| Position (°2θ) | Rel. int. |
| --- | --- |
| 14.60 | 100 |
| 30.93 | 73 |
| 24.88 | 56 |
| 9.01 | 49 |
| 20.81 | 42 |
| 14.37 | 40 |



No. 5
Computed X-ray powder pattern
Compound: Rb2HfI4Cl2
Radiation: Cu Kα (λ = 1.5418 Å)
Structure: a DFT-relaxed cell (PBE, Alexandria)

```
9
Lattice="6.645 -4.135 0.000 6.645 4.135 0.000 -1.320 0.000 6.732" Properties=species:S:1:pos:R:3 pbc="T T T"
Rb 1.854 0.000 1.871
Rb 10.116 0.000 4.861
Hf 6.645 0.000 0.000
I 5.129 2.046 1.339
I 6.840 2.046 5.393
I 5.129 -2.046 1.339
I 6.840 -2.046 5.393
Cl 3.712 0.000 4.908
Cl 8.257 0.000 1.824
```

Top 6 peaks for 5° ≤ 2θ ≤ 70°, by intensity:
| Position (°2θ) | Rel. int. |
| --- | --- |
| 27.53 | 100 |
| 35.06 | 47 |
| 13.15 | 38 |
| 20.71 | 36 |
| 30.02 | 35 |
| 19.23 | 29 |



No. 6
Computed X-ray powder pattern
Compound: KHfCl14
Radiation: Cu Kα (λ = 1.5418 Å)
Structure: a DFT-relaxed cell (PBE, Alexandria)

```
16
Lattice="7.916 0.000 0.000 -3.585 8.102 0.000 -1.730 -3.940 10.011" Properties=species:S:1:pos:R:3 pbc="T T T"
K 0.000 0.000 0.000
Hf -1.244 3.664 8.894
Cl -2.716 6.192 2.466
Cl -2.999 1.984 9.125
Cl -1.885 2.275 6.492
Cl -0.780 2.628 4.792
Cl 0.669 -2.826 8.254
Cl 0.884 2.343 2.327
Cl 1.388 3.866 1.038
Cl 1.686 0.653 5.546
Cl 0.438 1.870 9.209
Cl 2.824 -0.852 6.216
Cl 4.422 0.357 1.032
Cl 0.451 4.810 7.605
Cl 5.314 -1.019 4.837
Cl 3.195 6.260 3.455
```

Top 6 peaks for 5° ≤ 2θ ≤ 70°, by intensity:
| Position (°2θ) | Rel. int. |
| --- | --- |
| 11.79 | 100 |
| 8.83 | 60 |
| 12.83 | 48 |
| 17.31 | 31 |
| 17.69 | 31 |
| 15.72 | 30 |



No. 7
Computed X-ray powder pattern
Compound: K6HfCl12
Radiation: Cu Kα (λ = 1.5418 Å)
Structure: a DFT-relaxed cell (PBE, Alexandria)

```
19
Lattice="6.600 3.811 4.327 -6.600 3.811 4.327 0.000 -7.621 4.327" Properties=species:S:1:pos:R:3 pbc="T T T"
K -0.819 -3.066 4.590
K -2.246 2.243 4.590
K -3.065 -0.824 8.391
K 3.065 0.824 4.590
K 2.246 -2.243 8.391
K 0.819 3.066 8.391
Hf 0.000 0.000 0.000
Cl -6.152 -1.828 7.252
Cl -1.493 -6.242 5.729
Cl -2.841 -0.763 5.212
Cl -4.659 4.414 5.729
Cl -0.759 -2.842 7.769
Cl 2.081 -2.079 5.212
Cl -2.081 2.079 7.769
Cl 0.759 2.842 5.212
Cl 4.659 -4.414 7.252
Cl 2.841 0.763 7.769
Cl 1.493 6.242 7.252
Cl 6.152 1.828 5.729
```

Top 6 peaks for 5° ≤ 2θ ≤ 70°, by intensity:
| Position (°2θ) | Rel. int. |
| --- | --- |
| 21.68 | 100 |
| 10.31 | 79 |
| 34.57 | 72 |
| 15.70 | 47 |
| 36.00 | 45 |
| 16.95 | 44 |



No. 8
Computed X-ray powder pattern
Compound: KHfS2Cl
Radiation: Cu Kα (λ = 1.5418 Å)
Structure: a DFT-relaxed cell (PBE, Alexandria)

```
5
Lattice="4.976 0.000 0.000 0.000 4.976 0.000 0.000 0.000 5.133" Properties=species:S:1:pos:R:3 pbc="T T T"
K 0.000 0.000 0.000
Hf 2.488 2.488 2.567
S 0.000 2.488 2.567
S 2.488 0.000 2.567
Cl 2.488 2.488 0.000
```

Top 6 peaks for 5° ≤ 2θ ≤ 70°, by intensity:
| Position (°2θ) | Rel. int. |
| --- | --- |
| 17.82 | 100 |
| 24.92 | 100 |
| 36.10 | 59 |
| 25.31 | 51 |
| 17.27 | 50 |
| 44.37 | 44 |



No. 9
Computed X-ray powder pattern
Compound: RbLiHfCl6
Radiation: Cu Kα (λ = 1.5418 Å)
Structure: a DFT-relaxed cell (PBE, Alexandria)

```
18
Lattice="6.658 0.000 0.000 -3.329 5.766 0.000 0.000 0.000 14.620" Properties=species:S:1:pos:R:3 pbc="T T T"
Rb 0.000 0.000 0.000
Rb 0.000 0.000 7.310
Li 0.000 3.844 3.655
Li 3.329 1.922 10.965
Hf 0.000 3.844 10.965
Hf 3.329 1.922 3.655
Cl -1.168 2.207 9.537
Cl -2.002 3.651 12.393
Cl 1.168 2.207 12.393
Cl -0.834 5.675 9.537
Cl 2.495 0.092 2.227
Cl 1.327 2.115 5.083
Cl 2.002 3.651 9.537
Cl 0.834 5.675 12.393
Cl 4.163 0.092 5.083
Cl 2.161 3.560 2.227
Cl 5.331 2.115 2.227
Cl 4.497 3.560 5.083
```

Top 6 peaks for 5° ≤ 2θ ≤ 70°, by intensity:
| Position (°2θ) | Rel. int. |
| --- | --- |
| 16.53 | 100 |
| 19.61 | 97 |
| 36.51 | 74 |
| 12.11 | 40 |
| 23.91 | 35 |
| 29.48 | 31 |



No. 10
Computed X-ray powder pattern
Compound: NaHf8N8Cl8
Radiation: Cu Kα (λ = 1.5418 Å)
Structure: a DFT-relaxed cell (PBE, Alexandria)

```
25
Lattice="6.228 0.000 0.000 0.000 3.631 0.000 -1.914 0.000 20.086" Properties=species:S:1:pos:R:3 pbc="T T T"
Na 0.000 0.000 0.000
Hf -0.918 1.815 16.215
Hf 0.041 0.000 6.397
Hf 1.153 1.815 13.679
Hf 2.133 0.000 3.898
Hf 2.181 0.000 16.188
Hf 3.161 1.815 6.408
Hf 4.273 0.000 13.690
Hf 5.232 1.815 3.871
N -0.930 1.815 14.107
N 0.047 0.000 4.212
N 1.172 1.815 15.862
N 2.129 0.000 5.993
N 2.185 0.000 14.094
N 3.142 1.815 4.225
N 4.267 0.000 15.875
N 5.244 1.815 5.979
Cl 1.051 1.815 1.847
Cl 0.105 0.000 11.876
Cl 0.131 0.000 18.154
Cl 1.091 1.815 8.210
Cl 3.223 1.815 11.877
Cl 4.183 0.000 1.932
Cl 4.209 0.000 8.211
Cl 3.263 1.815 18.239
```

Top 6 peaks for 5° ≤ 2θ ≤ 70°, by intensity:
| Position (°2θ) | Rel. int. |
| --- | --- |
| 8.80 | 100 |
| 32.12 | 30 |
| 29.06 | 19 |
| 35.47 | 19 |
| 32.47 | 14 |
| 41.65 | 11 |



No. 11
Computed X-ray powder pattern
Compound: NaHf3N3Cl3
Radiation: Cu Kα (λ = 1.5418 Å)
Structure: a DFT-relaxed cell (PBE, Alexandria)

```
20
Lattice="3.167 -5.473 0.000 3.167 5.473 0.000 -2.107 0.000 10.153" Properties=species:S:1:pos:R:3 pbc="T T T"
Na 3.167 3.629 0.000
Na 3.167 -3.629 0.000
Hf -0.023 1.789 6.268
Hf 1.012 0.000 3.893
Hf -0.023 -1.789 6.268
Hf 4.251 1.789 3.885
Hf 3.216 0.000 6.261
Hf 4.251 -1.789 3.885
N 1.034 3.604 6.000
N 3.194 3.604 4.153
N 1.111 0.000 6.012
N 3.117 0.000 4.141
N 1.034 -3.604 6.000
N 3.194 -3.604 4.153
Cl -1.064 0.000 8.272
Cl 2.089 1.841 1.811
Cl 2.139 1.841 8.343
Cl 2.089 -1.841 1.811
Cl 2.139 -1.841 8.343
Cl 5.293 0.000 1.881
```

Top 6 peaks for 5° ≤ 2θ ≤ 70°, by intensity:
| Position (°2θ) | Rel. int. |
| --- | --- |
| 8.71 | 100 |
| 31.88 | 49 |
| 28.82 | 26 |
| 41.14 | 21 |
| 35.07 | 17 |
| 49.90 | 11 |



No. 12
Computed X-ray powder pattern
Compound: NaHf2Cl8
Radiation: Cu Kα (λ = 1.5418 Å)
Structure: a DFT-relaxed cell (PBE, Alexandria)

```
11
Lattice="8.740 0.000 0.000 -4.370 7.569 0.000 0.000 0.000 5.042" Properties=species:S:1:pos:R:3 pbc="T T T"
Na 0.000 0.000 0.000
Hf 0.000 5.046 1.234
Hf 4.370 2.523 3.808
Cl -0.008 2.677 1.273
Cl -2.048 6.238 1.273
Cl 0.000 5.046 3.769
Cl 2.314 1.346 3.768
Cl 2.056 6.224 1.273
Cl 4.370 2.523 1.273
Cl 6.418 1.331 3.768
Cl 4.378 4.892 3.768
```

Top 6 peaks for 5° ≤ 2θ ≤ 70°, by intensity:
| Position (°2θ) | Rel. int. |
| --- | --- |
| 21.17 | 100 |
| 20.32 | 80 |
| 41.33 | 57 |
| 11.69 | 53 |
| 36.10 | 43 |
| 55.66 | 36 |